# 1
MgFe4NiO8: theoretical powder diffractogram (Cu Kα (weighted mean of Kα1 and Kα2)), based on the PBE+U geometry in Alexandria.

Structural model:
Lattice parameters (Å, degrees): 10.216 5.934 5.887 90.00 125.13 90.00
Space group C2/m (No. 12)
Inequivalent atoms, fractional coordinates:
1 Mg 0.000 0.000 0.000 x2
2 Fe 0.117 0.500 0.864 x4
3 Fe 0.250 0.250 0.500 x4
4 Ni 0.000 0.000 0.500 x2
5 O 0.016 0.241 0.265 x8
6 O 0.249 0.000 0.269 x4
7 O 0.249 0.500 0.272 x4

Most intense lines, 2θ = 10–90°, in order of rising 2θ:
(0 0 1), d = 4.815 Å, intensity 24; (1 1 1), d = 2.955 Å, intensity 46; (2 0 -2), d = 2.943 Å, intensity 16; (2 2 -1), d = 2.524 Å, intensity 100; (4 0 -1), d = 2.516 Å, intensity 97; (4 0 0), d = 2.089 Å, intensity 36; (1 3 -2), d = 1.611 Å, intensity 21; (2 2 -3), d = 1.607 Å, intensity 33; (0 0 3), d = 1.606 Å, intensity 13; (0 4 0), d = 1.483 Å, intensity 15; (6 2 -2), d = 1.477 Å, intensity 58; (4 0 -4), d = 1.472 Å, intensity 14

# 2
Mg6FeNiO8: theoretical powder diffractogram (Cu Kα (weighted mean of Kα1 and Kα2)), based on the PBE+U geometry in Alexandria.

Structural model:
Lattice parameters (Å, degrees): 4.285 4.285 8.485 90.00 90.00 90.00
Space group P4/mmm (No. 123)
Inequivalent atoms, fractional coordinates:
1 Mg 0.000 0.000 0.000 x1
2 Mg 0.000 0.000 0.500 x1
3 Mg 0.000 0.500 0.249 x4
4 Fe 0.500 0.500 0.500 x1
5 Ni 0.500 0.500 0.000 x1
6 O 0.000 0.000 0.249 x2
7 O 0.000 0.500 0.000 x2
8 O 0.000 0.500 0.500 x2
9 O 0.500 0.500 0.247 x2

Most intense lines, 2θ = 10–90°, in order of rising 2θ:
(1 0 0), d = 4.285 Å, intensity 21; (0 0 2), d = 4.243 Å, intensity 10; (1 1 0), d = 3.030 Å, intensity 9; (1 0 2), d = 3.015 Å, intensity 18; (1 1 2), d = 2.466 Å, intensity 40; (2 0 0), d = 2.143 Å, intensity 100; (0 0 4), d = 2.121 Å, intensity 48; (2 2 0), d = 1.515 Å, intensity 28; (2 0 4), d = 1.508 Å, intensity 56; (3 1 2), d = 1.291 Å, intensity 13; (1 1 6), d = 1.282 Å, intensity 7; (2 2 4), d = 1.233 Å, intensity 26

# 3
Mg6FeNiO8: theoretical powder diffractogram (Cu Kα (weighted mean of Kα1 and Kα2)), based on the PBE+U geometry in Alexandria.

Structural model:
Lattice parameters (Å, degrees): 4.255 4.255 8.572 90.00 90.00 90.00
Space group P4/mmm (No. 123)
Inequivalent atoms, fractional coordinates:
1 Mg 0.000 0.000 0.000 x1
2 Mg 0.000 0.500 0.250 x4
3 Mg 0.500 0.500 0.000 x1
4 Fe 0.000 0.000 0.500 x1
5 Ni 0.500 0.500 0.500 x1
6 O 0.000 0.000 0.244 x2
7 O 0.000 0.500 0.000 x2
8 O 0.000 0.500 0.500 x2
9 O 0.500 0.500 0.251 x2

Most intense lines, 2θ = 10–90°, in order of rising 2θ:
(0 0 1), d = 8.572 Å, intensity 48; (0 0 2), d = 4.286 Å, intensity 11; (1 1 0), d = 3.009 Å, intensity 9; (1 1 1), d = 2.839 Å, intensity 15; (1 1 2), d = 2.463 Å, intensity 41; (0 0 4), d = 2.143 Å, intensity 51; (2 0 0), d = 2.127 Å, intensity 100; (2 0 4), d = 1.510 Å, intensity 57; (2 2 0), d = 1.504 Å, intensity 28; (1 1 6), d = 1.291 Å, intensity 7; (3 1 2), d = 1.284 Å, intensity 13; (2 2 4), d = 1.231 Å, intensity 26

# 4
Mg2Fe7O12: theoretical powder diffractogram (Cu Kα (weighted mean of Kα1 and Kα2)), based on the PBE+U geometry in Alexandria.

Structural model:
Lattice parameters (Å, degrees): 8.434 8.380 13.220 90.00 108.52 90.00
Space group C2/c (No. 15)
Inequivalent atoms, fractional coordinates:
1 Mg 0.085 0.249 0.168 x8
2 Fe 0.000 0.000 0.000 x4
3 Fe 0.000 0.131 0.750 x4
4 Fe 0.161 0.372 0.584 x8
5 Fe 0.165 0.500 0.334 x8
6 Fe 0.250 0.250 0.000 x4
7 O 0.020 0.250 0.004 x8
8 O 0.076 0.498 0.177 x8
9 O 0.100 0.002 0.169 x8
10 O 0.162 0.265 0.334 x8
11 O 0.174 0.264 0.842 x8
12 O 0.242 0.488 0.993 x8

Most intense lines, 2θ = 10–90°, in order of rising 2θ:
(1 1 -2), d = 4.842 Å, intensity 10; (2 0 -4), d = 2.969 Å, intensity 38; (0 2 3), d = 2.959 Å, intensity 18; (3 1 0), d = 2.540 Å, intensity 50; (1 3 -2), d = 2.525 Å, intensity 100; (2 4 2), d = 1.711 Å, intensity 10; (5 1 -4), d = 1.622 Å, intensity 14; (1 5 -2), d = 1.614 Å, intensity 23; (1 1 -8), d = 1.609 Å, intensity 14; (4 0 4), d = 1.486 Å, intensity 34; (4 0 -8), d = 1.483 Å, intensity 11; (0 4 6), d = 1.479 Å, intensity 22

# 5
MgFe2O4: theoretical powder diffractogram (Cu Kα (weighted mean of Kα1 and Kα2)), based on the PBE+U geometry in Alexandria.

Structural model:
Lattice parameters (Å, degrees): 5.763 10.334 5.179 90.00 90.00 90.00
Space group Pmmn (No. 59, origin choice 2)
Inequivalent atoms, fractional coordinates:
1 Mg 0.250 0.250 0.027 x2
2 Mg 0.250 0.750 0.329 x2
3 Fe 0.000 0.000 0.500 x4
4 Fe 0.250 0.519 0.985 x4
5 O 0.005 0.118 0.850 x8
6 O 0.250 0.095 0.317 x4
7 O 0.250 0.606 0.633 x4

Most intense lines, 2θ = 10–90°, in order of rising 2θ:
(0 2 0), d = 5.167 Å, intensity 100; (0 0 2), d = 2.587 Å, intensity 24; (2 0 1), d = 2.517 Å, intensity 23; (0 2 2), d = 2.315 Å, intensity 24; (2 2 1), d = 2.263 Å, intensity 43; (2 3 1), d = 2.033 Å, intensity 9; (0 4 2), d = 1.829 Å, intensity 18; (2 4 1), d = 1.803 Å, intensity 42; (2 0 3), d = 1.481 Å, intensity 17; (4 0 0), d = 1.441 Å, intensity 8; (2 2 3), d = 1.424 Å, intensity 8; (2 6 1), d = 1.422 Å, intensity 10

# 6
MgFe11O18: theoretical powder diffractogram (Cu Kα (weighted mean of Kα1 and Kα2)), based on the PBE+U geometry in Alexandria.

Structural model:
Lattice parameters (Å, degrees): 5.505 7.529 8.890 113.21 105.55 95.44
Space group P1 (No. 1)
Inequivalent atoms, fractional coordinates:
1 Mg 0.000 0.000 0.000 x1
2 Fe 0.244 0.875 0.331 x1
3 Fe 0.247 0.372 0.330 x1
4 Fe 0.324 0.835 0.667 x1
5 Fe 0.326 0.335 0.667 x1
6 Fe 0.584 0.712 0.000 x1
7 Fe 0.586 0.206 0.002 x1
8 Fe 0.660 0.669 0.333 x1
9 Fe 0.663 0.170 0.333 x1
10 Fe 0.912 0.042 0.669 x1
11 Fe 0.914 0.545 0.667 x1
12 Fe 0.993 0.503 0.000 x1
13 O 0.016 0.835 0.760 x1
14 O 0.017 0.840 0.463 x1
15 O 0.221 0.538 0.563 x1
16 O 0.222 0.542 0.869 x1
17 O 0.251 0.569 0.233 x1
18 O 0.321 0.143 0.770 x1
19 O 0.352 0.171 0.435 x1
20 O 0.364 0.177 0.136 x1
21 O 0.552 0.875 0.535 x1
22 O 0.553 0.873 0.232 x1
23 O 0.578 0.903 0.898 x1
24 O 0.656 0.478 0.437 x1
25 O 0.681 0.502 0.100 x1
26 O 0.684 0.507 0.797 x1
27 O 0.884 0.210 0.898 x1
28 O 0.890 0.209 0.205 x1
29 O 0.918 0.237 0.567 x1
30 O 0.987 0.802 0.103 x1

Most intense lines, 2θ = 10–90°, in order of rising 2θ:
(1 0 -2), d = 3.747 Å, intensity 39; (1 -2 2), d = 2.740 Å, intensity 100; (1 2 0), d = 2.568 Å, intensity 80; (0 3 0), d = 2.246 Å, intensity 22; (2 0 2), d = 1.874 Å, intensity 41; (3 0 -3), d = 1.721 Å, intensity 60; (3 -2 1), d = 1.620 Å, intensity 7; (1 -2 5), d = 1.513 Å, intensity 29; (1 2 3), d = 1.482 Å, intensity 36; (-3 4 1), d = 1.328 Å, intensity 14; (0 0 6), d = 1.284 Å, intensity 9; (4 2 0), d = 1.124 Å, intensity 8

# 7
Mg2Fe2O5: theoretical powder diffractogram (Cu Kα (weighted mean of Kα1 and Kα2)), based on the PBE+U geometry in Alexandria.

Structural model:
Lattice parameters (Å, degrees): 7.497 10.391 3.283 90.00 90.00 90.00
Space group Pbam (No. 55)
Inequivalent atoms, fractional coordinates:
1 Mg 0.094 0.126 0.000 x4
2 Fe 0.194 0.393 0.500 x4
3 O 0.000 0.500 0.500 x2
4 O 0.139 0.218 0.500 x4
5 O 0.166 0.936 0.000 x4

Most intense lines, 2θ = 10–90°, in order of rising 2θ:
(1 2 0), d = 4.270 Å, intensity 100; (2 0 0), d = 3.749 Å, intensity 26; (2 1 0), d = 3.526 Å, intensity 80; (0 0 1), d = 3.283 Å, intensity 22; (1 1 1), d = 2.889 Å, intensity 72; (0 4 0), d = 2.602 Å, intensity 96; (1 4 0), d = 2.455 Å, intensity 26; (3 2 0), d = 2.252 Å, intensity 27; (3 1 1), d = 1.953 Å, intensity 24; (2 4 1), d = 1.790 Å, intensity 24; (0 0 2), d = 1.642 Å, intensity 21; (1 6 1), d = 1.501 Å, intensity 24

# 8
MgFe4O9: theoretical powder diffractogram (Cu Kα (weighted mean of Kα1 and Kα2)), based on the PBE+U geometry in Alexandria.

Structural model:
Lattice parameters (Å, degrees): 8.272 8.272 5.360 90.00 90.00 90.00
Space group P4/n (No. 85, origin choice 2)
Inequivalent atoms, fractional coordinates:
1 Mg 0.250 0.250 0.186 x2
2 Fe 0.027 0.664 0.393 x8
3 O 0.047 0.142 0.419 x8
4 O 0.062 0.300 0.922 x8
5 O 0.250 0.750 0.500 x2

Most intense lines, 2θ = 10–90°, in order of rising 2θ:
(0 0 1), d = 5.360 Å, intensity 100; (1 1 1), d = 3.952 Å, intensity 20; (2 1 1), d = 3.045 Å, intensity 83; (2 2 0), d = 2.925 Å, intensity 15; (1 3 0), d = 2.616 Å, intensity 42; (1 3 1), d = 2.351 Å, intensity 13; (2 1 2), d = 2.170 Å, intensity 38; (4 2 0), d = 1.850 Å, intensity 21; (4 2 1), d = 1.748 Å, intensity 34; (2 1 3), d = 1.609 Å, intensity 17; (3 4 1), d = 1.581 Å, intensity 13; (5 0 2), d = 1.408 Å, intensity 18

# 9
MgFe4O6: theoretical powder diffractogram (Cu Kα (weighted mean of Kα1 and Kα2)), based on the PBE+U geometry in Alexandria.

Structural model:
Lattice parameters (Å, degrees): 2.960 10.097 15.350 90.00 90.00 90.00
Space group Cmcm (No. 63)
Inequivalent atoms, fractional coordinates:
1 Mg 0.000 0.148 0.250 x4
2 Fe 0.000 0.103 0.638 x8
3 Fe 0.000 0.366 0.547 x8
4 O 0.000 0.000 0.000 x4
5 O 0.000 0.205 0.750 x4
6 O 0.000 0.284 0.084 x8
7 O 0.000 0.467 0.664 x8

Most intense lines, 2θ = 10–90°, in order of rising 2θ:
(0 0 2), d = 7.675 Å, intensity 42; (1 1 1), d = 2.793 Å, intensity 21; (1 1 2), d = 2.664 Å, intensity 23; (0 2 5), d = 2.623 Å, intensity 100; (0 4 0), d = 2.524 Å, intensity 27; (1 1 3), d = 2.483 Å, intensity 21; (0 2 6), d = 2.282 Å, intensity 29; (1 3 1), d = 2.200 Å, intensity 32; (1 3 2), d = 2.135 Å, intensity 57; (1 3 3), d = 2.039 Å, intensity 46; (1 1 8), d = 1.590 Å, intensity 26; (1 5 4), d = 1.530 Å, intensity 23

# 10
MgPaFe2O8: theoretical powder diffractogram (Cu Kα (weighted mean of Kα1 and Kα2)), based on the PBE+U geometry in Alexandria.

Structural model:
Lattice parameters (Å, degrees): 6.922 6.922 6.507 90.00 90.00 90.00
Space group I-4m2 (No. 119)
Inequivalent atoms, fractional coordinates:
1 Mg 0.000 0.000 0.000 x2
2 Pa 0.000 0.500 0.750 x2
3 Fe 0.000 0.000 0.500 x2
4 Fe 0.000 0.500 0.250 x2
5 O 0.000 0.192 0.698 x8
6 O 0.000 0.318 0.066 x8

Most intense lines, 2θ = 10–90°, in order of rising 2θ:
(1 1 0), d = 4.895 Å, intensity 60; (1 0 1), d = 4.741 Å, intensity 77; (2 0 0), d = 3.461 Å, intensity 100; (2 1 1), d = 2.795 Å, intensity 32; (1 1 2), d = 2.710 Å, intensity 75; (2 2 0), d = 2.447 Å, intensity 20; (2 0 2), d = 2.371 Å, intensity 21; (3 0 1), d = 2.175 Å, intensity 19; (3 2 1), d = 1.841 Å, intensity 17; (3 1 2), d = 1.816 Å, intensity 64; (3 3 2), d = 1.458 Å, intensity 19; (2 2 4), d = 1.354 Å, intensity 20